Record 1
This entry pairs a crystal structure of Ca2Nd6Sm3 with its simulated powder diffractogram. Radiation: λ = 1.5418 Å (Cu Kα). Structure: a cell relaxed with GGA-PBE.

```
Ca2Nd6Sm3
1.0
1.844 1.064 33.477
-1.844 1.064 33.477
0.000 -2.129 33.477
Ca Nd Sm
2 6 3
direct
0.046 0.046 0.046
0.954 0.954 0.954
0.137 0.137 0.137
0.319 0.319 0.319
0.412 0.412 0.412
0.588 0.588 0.588
0.681 0.681 0.681
0.863 0.863 0.863
0.226 0.226 0.226
0.500 0.500 0.500
0.774 0.774 0.774
```

Peak list (10 most intense, 2θ = 10–90°, most intense first)
two_theta  I (rel.)
29.64  100
34.27  66
29.35  33
58.53  27
49.43  25
49.06  21
58.70  14
61.53  12
58.20  12
80.22  12

---

Record 2
This entry pairs a crystal structure of Pm3ErAu2 with its simulated powder diffractogram. Radiation: λ = 1.5418 Å (Cu Kα). Structure: a cell relaxed with GGA-PBE.

```
Pm3ErAu2
1.0
5.078 0.000 0.000
0.000 9.211 0.000
0.000 0.000 7.154
Pm Er Au
6 2 4
direct
0.000 0.075 0.000
0.000 0.336 0.356
0.000 0.664 0.856
0.000 0.925 0.500
0.500 0.166 0.660
0.500 0.834 0.160
0.500 0.427 0.016
0.500 0.573 0.516
0.000 0.350 0.774
0.000 0.650 0.274
0.500 0.159 0.242
0.500 0.841 0.742
```

Peak list (10 most intense, 2θ = 10–90°, most intense first)
two_theta  I (rel.)
32.11  100
34.13  76
35.35  65
29.00  57
42.70  44
31.69  41
30.57  29
48.20  26
43.04  20
53.71  18

---

Record 3
This entry pairs a crystal structure of CsNaH with its simulated powder diffractogram. Radiation: λ = 1.5418 Å (Cu Kα). Structure: a cell relaxed with GGA-PBE.

```
CsNaH
1.0
4.540 0.000 0.000
0.000 4.540 0.000
0.000 0.000 10.017
Cs Na H
2 2 2
direct
0.250 0.250 0.156
0.750 0.750 0.844
0.250 0.250 0.597
0.750 0.750 0.403
0.250 0.250 0.836
0.750 0.750 0.164
```

Peak list (10 most intense, 2θ = 10–90°, most intense first)
two_theta  I (rel.)
26.50  100
21.49  70
27.79  54
48.38  38
38.92  26
39.71  20
45.59  19
26.70  18
49.75  14
64.35  14

---

Record 4
This entry pairs a crystal structure of Y4Hg5Ir2 with its simulated powder diffractogram. Radiation: λ = 1.5418 Å (Cu Kα). Structure: a cell relaxed with GGA-PBE.

```
Y4Hg5Ir2
1.0
7.703 0.000 0.000
0.000 3.652 0.000
-0.806 0.000 9.499
Y Hg Ir
4 5 2
direct
0.180 0.000 0.351
0.215 0.000 0.939
0.785 0.000 0.061
0.820 0.000 0.649
0.170 0.500 0.644
0.458 0.500 0.168
0.500 0.500 0.500
0.542 0.500 0.832
0.830 0.500 0.356
0.079 0.500 0.141
0.921 0.500 0.859
```

Peak list (10 most intense, 2θ = 10–90°, most intense first)
two_theta  I (rel.)
24.38  100
33.65  89
37.93  60
33.89  58
32.49  57
35.07  51
35.19  48
49.95  44
37.60  43
38.72  39

---

Record 5
This entry pairs a crystal structure of In4Sn3Hg2 with its simulated powder diffractogram. Radiation: λ = 1.5418 Å (Cu Kα). Structure: a cell relaxed with GGA-PBE.

```
In4Sn3Hg2
1.0
4.426 -8.252 0.000
4.426 8.252 0.000
0.000 0.000 7.201
In Sn Hg
8 6 4
direct
0.182 0.818 0.969
0.196 0.304 0.750
0.304 0.196 0.250
0.318 0.682 0.469
0.682 0.318 0.531
0.696 0.804 0.750
0.804 0.696 0.250
0.818 0.182 0.031
0.000 0.000 0.000
0.009 0.491 0.750
0.491 0.009 0.250
0.500 0.500 0.500
0.509 0.991 0.750
0.991 0.509 0.250
0.103 0.897 0.549
0.397 0.603 0.049
0.603 0.397 0.951
0.897 0.103 0.451
```

Peak list (10 most intense, 2θ = 10–90°, most intense first)
two_theta  I (rel.)
32.04  100
31.48  77
42.98  37
40.77  30
25.98  28
29.60  27
59.81  16
33.02  16
39.08  15
47.98  14

---

Record 6
This entry pairs a crystal structure of Sr2CdBi4Rh3 with its simulated powder diffractogram. Radiation: λ = 1.5418 Å (Cu Kα). Structure: a cell relaxed with GGA-PBE.

```
Sr2CdBi4Rh3
1.0
4.792 0.000 0.000
0.000 4.792 0.000
0.000 0.000 11.384
Sr Cd Bi Rh
2 1 4 3
direct
0.000 0.500 0.249
0.500 0.000 0.751
0.000 0.000 0.500
0.000 0.000 0.000
0.000 0.500 0.644
0.500 0.000 0.356
0.500 0.500 0.000
0.000 0.500 0.880
0.500 0.000 0.120
0.500 0.500 0.500
```

Peak list (10 most intense, 2θ = 10–90°, most intense first)
two_theta  I (rel.)
30.71  100
37.54  75
41.43  59
30.04  34
63.52  30
20.10  30
54.13  26
70.39  25
44.03  23
15.57  21

---

Record 7
This entry pairs a crystal structure of Er2GaNi3 with its simulated powder diffractogram. Radiation: λ = 1.5418 Å (Cu Kα). Structure: a cell relaxed with GGA-PBE.

```
Er2GaNi3
1.0
5.358 -3.720 0.000
5.358 3.720 0.000
0.000 0.000 5.305
Er Ga Ni
4 2 6
direct
0.004 0.645 0.750
0.355 0.996 0.750
0.645 0.004 0.250
0.996 0.355 0.250
0.275 0.725 0.250
0.725 0.275 0.750
0.000 0.000 0.000
0.000 0.000 0.500
0.380 0.380 0.000
0.380 0.380 0.500
0.620 0.620 0.000
0.620 0.620 0.500
```

Peak list (10 most intense, 2θ = 10–90°, most intense first)
two_theta  I (rel.)
32.53  100
29.31  46
41.83  42
44.47  39
44.24  28
33.83  18
59.66  18
52.10  16
78.40  12
67.73  12

---

Record 8
This entry pairs a crystal structure of Na6MgIn2 with its simulated powder diffractogram. Radiation: λ = 1.5418 Å (Cu Kα). Structure: a cell relaxed with GGA-PBE.

```
Na6MgIn2
1.0
4.455 -8.481 0.000
4.455 8.481 0.000
-0.679 0.000 3.522
Na Mg In
6 1 2
direct
0.001 0.347 0.309
0.177 0.177 0.831
0.347 0.001 0.309
0.653 0.999 0.691
0.823 0.823 0.169
0.999 0.653 0.691
0.500 0.500 0.500
0.351 0.649 0.000
0.649 0.351 0.000
```

Peak list (10 most intense, 2θ = 10–90°, most intense first)
two_theta  I (rel.)
11.38  100
33.19  83
18.69  66
29.37  47
31.12  42
31.65  39
36.38  37
34.61  28
20.30  27
31.27  25

---

Record 9
This entry pairs a crystal structure of SrPa4S8 with its simulated powder diffractogram. Radiation: λ = 1.5418 Å (Cu Kα). Structure: a cell relaxed with GGA-PBE.

```
SrPa4S8
1.0
0.000 5.825 5.825
5.825 0.000 5.825
5.825 5.825 0.000
Sr Pa S
1 4 8
direct
0.000 0.000 0.000
0.134 0.622 0.622
0.622 0.134 0.622
0.622 0.622 0.134
0.622 0.622 0.622
0.388 0.388 0.388
0.388 0.388 0.835
0.388 0.835 0.388
0.422 0.860 0.860
0.835 0.388 0.388
0.860 0.422 0.860
0.860 0.860 0.422
0.860 0.860 0.860
```

Peak list (10 most intense, 2θ = 10–90°, most intense first)
two_theta  I (rel.)
13.16  100
25.36  92
30.70  64
43.97  63
40.23  47
26.51  45
46.10  26
52.08  26
61.10  23
33.53  22

---

Record 10
This entry pairs a crystal structure of LiMgN3 with its simulated powder diffractogram. Radiation: λ = 1.5418 Å (Cu Kα). Structure: a cell relaxed with GGA-PBE.

```
LiMgN3
1.0
3.568 0.000 0.000
0.000 3.568 0.000
0.000 0.000 3.568
Li Mg N
1 1 3
direct
0.000 0.000 0.000
0.500 0.500 0.500
0.000 0.000 0.500
0.000 0.500 0.000
0.500 0.000 0.000
```

Peak list (9 most intense, 2θ = 10–90°, most intense first)
two_theta  I (rel.)
43.95  100
51.20  61
75.33  30
35.58  25
63.90  12
86.19  5
24.95  4
57.78  3
80.80  2

---

Record 11
This entry pairs a crystal structure of La3Pm2Hg2 with its simulated powder diffractogram. Radiation: λ = 1.5418 Å (Cu Kα). Structure: a cell relaxed with GGA-PBE.

```
La3Pm2Hg2
1.0
1.905 -15.883 0.000
1.905 15.883 0.000
0.000 0.000 3.770
La Pm Hg
3 2 2
direct
0.000 0.000 0.000
0.420 0.580 0.500
0.580 0.420 0.500
0.298 0.702 0.500
0.702 0.298 0.500
0.145 0.855 0.000
0.855 0.145 0.000
```

Peak list (10 most intense, 2θ = 10–90°, most intense first)
two_theta  I (rel.)
30.64  100
33.57  73
32.76  43
29.08  39
58.28  33
34.53  27
11.14  23
37.01  22
55.29  19
39.73  17

---

Record 12
This entry pairs a crystal structure of Ba2Sm3Se6 with its simulated powder diffractogram. Radiation: λ = 1.5418 Å (Cu Kα). Structure: a cell relaxed with GGA-PBE.

```
Ba2Sm3Se6
1.0
3.705 -6.412 0.000
3.705 6.412 0.000
-2.458 0.000 7.582
Ba Sm Se
2 3 6
direct
0.167 0.833 0.000
0.833 0.167 0.000
0.000 0.000 0.500
0.335 0.665 0.500
0.665 0.335 0.500
0.071 0.405 0.716
0.260 0.260 0.282
0.405 0.071 0.716
0.595 0.929 0.284
0.740 0.740 0.718
0.929 0.595 0.284
```

Peak list (10 most intense, 2θ = 10–90°, most intense first)
two_theta  I (rel.)
28.77  100
39.98  37
42.26  36
51.93  19
69.10  16
11.67  16
59.58  11
65.82  10
75.78  8
48.00  6

---

Record 13
This entry pairs a crystal structure of Pm3Ho2Ag3 with its simulated powder diffractogram. Radiation: λ = 1.5418 Å (Cu Kα). Structure: a cell relaxed with GGA-PBE.

```
Pm3Ho2Ag3
1.0
-1.850 2.690 10.952
1.850 -2.690 10.952
1.850 2.690 -10.952
Pm Ho Ag
3 2 3
direct
0.000 0.000 0.000
0.378 0.878 0.500
0.622 0.122 0.500
0.232 0.232 0.000
0.768 0.768 0.000
0.121 0.621 0.500
0.500 0.500 0.000
0.879 0.379 0.500
```

Peak list (10 most intense, 2θ = 10–90°, most intense first)
two_theta  I (rel.)
33.65  100
33.31  27
32.71  22
59.74  19
47.38  16
58.98  12
70.73  10
60.76  9
49.25  9
60.38  8

---

Record 14
This entry pairs a crystal structure of SrTiBe with its simulated powder diffractogram. Radiation: λ = 1.5418 Å (Cu Kα). Structure: a cell relaxed with GGA-PBE.

```
SrTiBe
1.0
4.173 0.000 0.000
-2.085 3.782 0.000
-0.012 -2.414 10.152
Sr Ti Be
2 2 2
direct
0.000 0.000 0.000
0.202 0.401 0.627
0.049 0.092 0.313
0.751 0.496 0.313
0.376 0.747 0.212
0.442 0.878 0.415
```

Peak list (10 most intense, 2θ = 10–90°, most intense first)
two_theta  I (rel.)
26.36  100
24.52  72
28.55  53
27.01  46
41.86  46
38.38  34
23.74  33
51.46  30
27.63  26
43.36  24